Na2Sr3Ga: theoretical powder diffraction line list (Cu Kα X-rays), based on a DFT-relaxed cell (PBE, Alexandria).
Lines closer than 0.1° are merged.

```
data_Na2Sr3Ga
_cell_length_a 5.732
_cell_length_b 17.396
_cell_length_c 9.378
_cell_angle_alpha 90.00
_cell_angle_beta 90.00
_cell_angle_gamma 90.00
_symmetry_space_group_name_H-M 'C m m m'
_symmetry_Int_Tables_number 65
_symmetry_space_group_name_Hall '-C 2 2'
loop_
_atom_site_label
_atom_site_fract_x
_atom_site_fract_y
_atom_site_fract_z
Na1 0.000 0.000 0.000
Na2 0.000 0.000 0.500
Na3 0.000 0.332 0.000
Sr1 0.000 0.176 0.300
Sr2 0.000 0.500 0.282
Ga1 0.000 0.346 0.500
```

The 10 most intense peaks (2θ from 15° to 90°), most intense first:
2θ/deg  I (rel.)  (hkl)
29.02  100.0  1 3 2
36.21  26.7  1 3 3
31.21  26.5  2 0 0
30.84  24.7  0 6 0
44.45  17.7  2 6 0
21.80  17.3  1 3 0
53.72  17.1  1 9 2
54.20  16.7  3 3 2
58.84  11.5  2 0 5
72.43  8.1  3 9 2